1.
For ZnCu, the PBE geometry in OQMD gives the theoretical PXRD pattern in this record (λ = 1.5418 Å (Cu Kα)).
Neutral-atom scattering factors, no anomalous dispersion.

Cell and atoms:
Unit cell a=4.259 b=7.881 c=4.561 alpha=90.00 beta=90.00 gamma=90.00
Positions (direct):
Zn 0.000 0.083 0.000
Zn 0.000 0.259 0.487
Zn 0.000 0.741 0.987
Zn 0.000 0.917 0.500
Zn 0.500 0.254 0.831
Zn 0.500 0.746 0.331
Cu 0.000 0.418 0.991
Cu 0.000 0.582 0.491
Cu 0.500 0.084 0.327
Cu 0.500 0.419 0.328
Cu 0.500 0.581 0.828
Cu 0.500 0.916 0.827

The 10 most intense peaks (2θ from 10° to 90°), in order of rising 2θ:
39.57 deg, intensity 25
42.45 deg, intensity 27
45.14 deg, intensity 100
59.42 deg, intensity 14
71.73 deg, intensity 10
71.88 deg, intensity 5
79.57 deg, intensity 17
87.06 deg, intensity 12
87.20 deg, intensity 6
89.03 deg, intensity 8

=====

2.
For ZnCu15, the PBE geometry in OQMD gives the theoretical PXRD pattern in this record (λ = 1.5418 Å (Cu Kα)).
Neutral-atom scattering factors, no anomalous dispersion.

Cell and atoms:
Unit cell a=4.404 b=34.169 c=4.404 alpha=90.00 beta=109.03 gamma=90.00
Positions (direct):
Zn 0.000 0.219 0.250
Zn 0.000 0.781 0.750
Cu 0.000 0.255 0.750
Cu 0.000 0.295 0.250
Cu 0.000 0.331 0.750
Cu 0.000 0.369 0.250
Cu 0.000 0.406 0.750
Cu 0.000 0.444 0.250
Cu 0.000 0.481 0.750
Cu 0.000 0.519 0.250
Cu 0.000 0.556 0.750
Cu 0.000 0.594 0.250
Cu 0.000 0.631 0.750
Cu 0.000 0.669 0.250
Cu 0.000 0.705 0.750
Cu 0.000 0.745 0.250
Cu 0.500 0.221 0.750
Cu 0.500 0.255 0.250
Cu 0.500 0.295 0.750
Cu 0.500 0.331 0.250
Cu 0.500 0.369 0.750
Cu 0.500 0.406 0.250
Cu 0.500 0.444 0.750
Cu 0.500 0.481 0.250
Cu 0.500 0.519 0.750
Cu 0.500 0.556 0.250
Cu 0.500 0.594 0.750
Cu 0.500 0.631 0.250
Cu 0.500 0.669 0.750
Cu 0.500 0.705 0.250
Cu 0.500 0.745 0.750
Cu 0.500 0.779 0.250

The 10 most intense peaks (2θ from 10° to 90°), in order of rising 2θ:
10.36 deg, intensity 19
42.65 deg, intensity 61
43.50 deg, intensity 100
44.93 deg, intensity 36
49.75 deg, intensity 39
50.96 deg, intensity 31
51.79 deg, intensity 23
73.96 deg, intensity 21
75.59 deg, intensity 13
89.54 deg, intensity 12

=====

3.
For ZnCu7, the PBE geometry in OQMD gives the theoretical PXRD pattern in this record (λ = 1.5418 Å (Cu Kα)).
Neutral-atom scattering factors, no anomalous dispersion.

Cell and atoms:
Unit cell a=2.559 b=3.465 c=32.033 alpha=90.00 beta=90.00 gamma=90.00
Positions (direct):
Zn 0.250 0.250 0.194
Zn 0.750 0.750 0.806
Cu 0.250 0.250 0.280
Cu 0.250 0.250 0.361
Cu 0.250 0.250 0.441
Cu 0.250 0.250 0.520
Cu 0.250 0.250 0.599
Cu 0.250 0.250 0.680
Cu 0.250 0.250 0.763
Cu 0.750 0.750 0.237
Cu 0.750 0.750 0.320
Cu 0.750 0.750 0.401
Cu 0.750 0.750 0.480
Cu 0.750 0.750 0.559
Cu 0.750 0.750 0.639
Cu 0.750 0.750 0.720

The 10 most intense peaks (2θ from 10° to 90°), in order of rising 2θ:
11.05 deg, intensity 13
42.76 deg, intensity 62
44.02 deg, intensity 100
45.15 deg, intensity 39
49.33 deg, intensity 40
51.49 deg, intensity 26
52.85 deg, intensity 21
75.19 deg, intensity 20
76.90 deg, intensity 14
89.54 deg, intensity 13

=====

4.
For ZnCu, the PBE geometry in OQMD gives the theoretical PXRD pattern in this record (λ = 1.5418 Å (Cu Kα)).
Neutral-atom scattering factors, no anomalous dispersion.

Cell and atoms:
Unit cell a=2.647 b=2.647 c=4.196 alpha=90.00 beta=90.00 gamma=120.00
Positions (direct):
Zn 0.000 0.000 0.000
Cu 0.333 0.667 0.500

The 9 most intense peaks (2θ from 10° to 90°), in order of rising 2θ:
39.30 deg, intensity 25
43.12 deg, intensity 25
45.07 deg, intensity 100
59.75 deg, intensity 14
71.25 deg, intensity 15
80.43 deg, intensity 16
84.54 deg, intensity 2
87.06 deg, intensity 18
88.41 deg, intensity 13

=====

5.
For ZrCu2, the PBE geometry in OQMD gives the theoretical PXRD pattern in this record (λ = 1.5418 Å (Cu Kα)).
Neutral-atom scattering factors, no anomalous dispersion.

Cell and atoms:
Unit cell a=8.512 b=4.682 c=4.630 alpha=90.00 beta=90.00 gamma=90.00
Positions (direct):
Zr 0.000 0.234 0.250
Zr 0.000 0.766 0.750
Zr 0.500 0.266 0.750
Zr 0.500 0.734 0.250
Cu 0.180 0.283 0.750
Cu 0.180 0.717 0.250
Cu 0.320 0.217 0.250
Cu 0.320 0.783 0.750
Cu 0.680 0.217 0.250
Cu 0.680 0.783 0.750
Cu 0.820 0.283 0.750
Cu 0.820 0.717 0.250

The 10 most intense peaks (2θ from 10° to 90°), in order of rising 2θ:
29.08 deg, intensity 7
38.46 deg, intensity 31
38.90 deg, intensity 34
42.04 deg, intensity 100
55.85 deg, intensity 20
65.83 deg, intensity 6
72.01 deg, intensity 14
72.59 deg, intensity 20
78.90 deg, intensity 6
79.18 deg, intensity 6

=====

6.
For ZrCu4, the PBE geometry in OQMD gives the theoretical PXRD pattern in this record (λ = 1.5418 Å (Cu Kα)).
Neutral-atom scattering factors, no anomalous dispersion.

Cell and atoms:
Unit cell a=4.669 b=4.462 c=13.365 alpha=90.00 beta=90.00 gamma=90.00
Positions (direct):
Zr 0.152 0.250 0.097
Zr 0.348 0.750 0.597
Zr 0.652 0.250 0.403
Zr 0.848 0.750 0.903
Cu 0.153 0.250 0.299
Cu 0.155 0.250 0.505
Cu 0.163 0.250 0.707
Cu 0.196 0.250 0.893
Cu 0.304 0.750 0.393
Cu 0.337 0.750 0.207
Cu 0.345 0.750 0.005
Cu 0.347 0.750 0.799
Cu 0.653 0.250 0.201
Cu 0.655 0.250 0.995
Cu 0.663 0.250 0.793
Cu 0.696 0.250 0.607
Cu 0.804 0.750 0.107
Cu 0.837 0.750 0.293
Cu 0.845 0.750 0.495
Cu 0.847 0.750 0.701

The 10 most intense peaks (2θ from 10° to 90°), in order of rising 2θ:
38.82 deg, intensity 29
40.43 deg, intensity 46
43.76 deg, intensity 56
43.99 deg, intensity 100
57.30 deg, intensity 16
69.94 deg, intensity 15
75.85 deg, intensity 11
76.01 deg, intensity 18
84.02 deg, intensity 17
86.75 deg, intensity 12

=====

7.
For Zr2Cu, the PBE geometry in OQMD gives the theoretical PXRD pattern in this record (λ = 1.5418 Å (Cu Kα)).
Neutral-atom scattering factors, no anomalous dispersion.

Cell and atoms:
Unit cell a=4.718 b=8.662 c=5.667 alpha=90.00 beta=90.00 gamma=90.00
Positions (direct):
Zr 0.250 0.061 0.145
Zr 0.250 0.250 0.626
Zr 0.250 0.439 0.145
Zr 0.250 0.750 0.999
Zr 0.750 0.250 0.001
Zr 0.750 0.561 0.855
Zr 0.750 0.750 0.374
Zr 0.750 0.939 0.855
Cu 0.250 0.588 0.562
Cu 0.250 0.912 0.562
Cu 0.750 0.088 0.438
Cu 0.750 0.412 0.438

The 10 most intense peaks (2θ from 10° to 90°), in order of rising 2θ:
32.20 deg, intensity 27
34.88 deg, intensity 31
37.01 deg, intensity 56
38.15 deg, intensity 49
38.49 deg, intensity 20
39.92 deg, intensity 100
52.64 deg, intensity 18
52.88 deg, intensity 13
67.05 deg, intensity 13
70.16 deg, intensity 25

=====

8.
For Zr7Cu10, the PBE geometry in OQMD gives the theoretical PXRD pattern in this record (λ = 1.5418 Å (Cu Kα)).
Neutral-atom scattering factors, no anomalous dispersion.

Cell and atoms:
Unit cell a=9.356 b=7.867 c=7.867 alpha=72.64 beta=90.00 gamma=90.00
Positions (direct):
Zr 0.000 0.000 0.000
Zr 0.000 0.310 0.310
Zr 0.000 0.621 0.621
Zr 0.195 0.003 0.619
Zr 0.250 0.295 0.827
Zr 0.250 0.795 0.327
Zr 0.305 0.503 0.119
Zr 0.500 0.121 0.121
Zr 0.500 0.500 0.500
Zr 0.500 0.810 0.810
Zr 0.695 0.119 0.503
Zr 0.750 0.327 0.795
Zr 0.750 0.827 0.295
Zr 0.805 0.619 0.003
Cu 0.008 0.369 0.961
Cu 0.009 0.660 0.253
Cu 0.101 0.706 0.915
Cu 0.205 0.145 0.184
Cu 0.205 0.435 0.476
Cu 0.295 0.645 0.684
Cu 0.295 0.935 0.976
Cu 0.399 0.206 0.415
Cu 0.491 0.160 0.753
Cu 0.492 0.869 0.461
Cu 0.508 0.461 0.869
Cu 0.509 0.753 0.160
Cu 0.601 0.415 0.206
Cu 0.705 0.684 0.645
Cu 0.705 0.976 0.935
Cu 0.795 0.184 0.145
Cu 0.795 0.476 0.435
Cu 0.899 0.915 0.706
Cu 0.991 0.253 0.660
Cu 0.992 0.961 0.369

The 10 most intense peaks (2θ from 10° to 90°), in order of rising 2θ:
37.15 deg, intensity 86
38.49 deg, intensity 25
38.65 deg, intensity 20
39.41 deg, intensity 100
39.88 deg, intensity 14
41.14 deg, intensity 11
41.65 deg, intensity 20
42.80 deg, intensity 17
46.52 deg, intensity 21
55.69 deg, intensity 16

=====

9.
For Dy3Er5, the PBE geometry in OQMD gives the theoretical PXRD pattern in this record (λ = 1.5418 Å (Cu Kα)).
Neutral-atom scattering factors, no anomalous dispersion.

Cell and atoms:
Unit cell a=7.167 b=7.167 c=5.566 alpha=90.00 beta=90.00 gamma=120.00
Positions (direct):
Dy 0.000 0.500 0.000
Dy 0.500 0.000 0.000
Dy 0.500 0.500 0.000
Er 0.000 0.000 0.000
Er 0.333 0.667 0.500
Er 0.334 0.167 0.500
Er 0.833 0.167 0.500
Er 0.833 0.666 0.500

The 10 most intense peaks (2θ from 10° to 90°), in order of rising 2θ:
28.77 deg, intensity 24
32.16 deg, intensity 24
33.05 deg, intensity 100
43.69 deg, intensity 15
50.97 deg, intensity 20
57.91 deg, intensity 20
61.56 deg, intensity 23
62.10 deg, intensity 16
84.39 deg, intensity 14
89.09 deg, intensity 8

=====

10.
For DyErNF2, the PBE geometry in OQMD gives the theoretical PXRD pattern in this record (λ = 1.5418 Å (Cu Kα)).
Neutral-atom scattering factors, no anomalous dispersion.

Cell and atoms:
Unit cell a=3.441 b=3.441 c=6.635 alpha=90.00 beta=90.00 gamma=120.00
Positions (direct):
Dy 0.000 0.000 0.000
Er 0.667 0.333 0.605
N 0.333 0.667 0.797
F 0.000 0.000 0.429
F 0.667 0.333 0.186

The 10 most intense peaks (2θ from 10° to 90°), in order of rising 2θ:
13.34 deg, intensity 20
26.87 deg, intensity 27
29.99 deg, intensity 31
32.95 deg, intensity 100
40.71 deg, intensity 68
51.45 deg, intensity 24
53.24 deg, intensity 30
60.63 deg, intensity 18
64.27 deg, intensity 18
69.15 deg, intensity 23